ScH11Br2O6: theoretical powder diffraction line list (Cu Ka), based on a GGA-PBE-relaxed structure.
Peak positions follow from Bragg's law for the DFT cell and can differ from measured ones.

Cell and atoms:
abc: 7.6060 8.4990 8.7852
angles: 96.33 114.97 101.31
Fractional coordinates of all 40 atoms:
Sc (0.1209, 0.1590, 0.1734)
Sc (0.8791, 0.8410, 0.8266)
H (0.0340, 0.5590, 0.7938)
H (0.0590, 0.8266, 0.1697)
H (0.0825, 0.8456, 0.6150)
H (0.1454, 0.0304, 0.7189)
H (0.1970, 0.6823, 0.9730)
H (0.2576, 0.4566, 0.4372)
H (0.3374, 0.3156, 0.5296)
H (0.3604, 0.3091, 0.0157)
H (0.3956, 0.4517, 0.1665)
H (0.4136, 0.9808, 0.2797)
H (0.4669, 0.8371, 0.6068)
H (0.5331, 0.1629, 0.3932)
H (0.5864, 0.0192, 0.7203)
H (0.6044, 0.5483, 0.8335)
H (0.6396, 0.6909, 0.9843)
H (0.6626, 0.6844, 0.4704)
H (0.7424, 0.5434, 0.5628)
H (0.8030, 0.3177, 0.0270)
H (0.8546, 0.9696, 0.2811)
H (0.9175, 0.1544, 0.3850)
H (0.9410, 0.1734, 0.8303)
H (0.9660, 0.4410, 0.2062)
Br (0.1442, 0.6893, 0.4189)
Br (0.4665, 0.2533, 0.8059)
Br (0.5335, 0.7467, 0.1941)
Br (0.8558, 0.3107, 0.5811)
O (0.0351, 0.9029, 0.0914)
O (0.0510, 0.9214, 0.6880)
O (0.0619, 0.6614, 0.8750)
O (0.2874, 0.3498, 0.4183)
O (0.3288, 0.3347, 0.1124)
O (0.3971, 0.0878, 0.3172)
O (0.6029, 0.9122, 0.6828)
O (0.6712, 0.6653, 0.8876)
O (0.7126, 0.6502, 0.5817)
O (0.9381, 0.3386, 0.1250)
O (0.9490, 0.0786, 0.3120)
O (0.9649, 0.0971, 0.9086)

Principal peaks in the range 10 to 90 degrees two-theta, sorted by position:
- d = 4.258 Å, intensity 94
- d = 4.193 Å, intensity 30
- d = 4.068 Å, intensity 74
- d = 3.925 Å, intensity 100
- d = 3.721 Å, intensity 86
- d = 3.360 Å, intensity 32
- d = 3.242 Å, intensity 38
- d = 3.067 Å, intensity 35
- d = 2.820 Å, intensity 32
- d = 2.403 Å, intensity 29

SnH10Br4O5: theoretical powder diffraction line list (Cu Ka), based on a GGA-PBE-relaxed structure.
Peak positions follow from Bragg's law for the DFT cell and can differ from measured ones.

Cell and atoms:
abc: 8.3317 8.3317 9.1047
angles: 101.06 101.06 77.13
Fractional coordinates of all 40 atoms:
Sn (0.2370, 0.7630, 0.7500)
Sn (0.7630, 0.2370, 0.2500)
H (0.0248, 0.1796, 0.5007)
H (0.0728, 0.3455, 0.7243)
H (0.0952, 0.7157, 0.2864)
H (0.1049, 0.1088, 0.3378)
H (0.1088, 0.1049, 0.8378)
H (0.1796, 0.0248, 0.0007)
H (0.2843, 0.9048, 0.2136)
H (0.3411, 0.6077, 0.1636)
H (0.3455, 0.0728, 0.2243)
H (0.3923, 0.6589, 0.3364)
H (0.6077, 0.3411, 0.6636)
H (0.6545, 0.9272, 0.7757)
H (0.6589, 0.3923, 0.8364)
H (0.7157, 0.0952, 0.7864)
H (0.8204, 0.9752, 0.9993)
H (0.8912, 0.8951, 0.1622)
H (0.8951, 0.8912, 0.6622)
H (0.9048, 0.2843, 0.7136)
H (0.9272, 0.6545, 0.2757)
H (0.9752, 0.8204, 0.4993)
Br (0.0776, 0.6372, 0.9015)
Br (0.2837, 0.4847, 0.5639)
Br (0.3628, 0.9224, 0.5985)
Br (0.4847, 0.2837, 0.0639)
Br (0.5153, 0.7163, 0.9361)
Br (0.6372, 0.0776, 0.4015)
Br (0.7163, 0.5153, 0.4361)
Br (0.9224, 0.3628, 0.0985)
O (0.0034, 0.1527, 0.3873)
O (0.0240, 0.2449, 0.6996)
O (0.1527, 0.0034, 0.8873)
O (0.2449, 0.0240, 0.1996)
O (0.3092, 0.6908, 0.2500)
O (0.6908, 0.3092, 0.7500)
O (0.7551, 0.9760, 0.8004)
O (0.8473, 0.9966, 0.1127)
O (0.9760, 0.7551, 0.3004)
O (0.9966, 0.8473, 0.6127)

Principal peaks in the range 10 to 90 degrees two-theta, sorted by position:
- d = 6.459 Å, intensity 71
- d = 6.315 Å, intensity 31
- d = 5.524 Å, intensity 100
- d = 5.194 Å, intensity 42
- d = 3.455 Å, intensity 28
- d = 3.058 Å, intensity 56
- d = 2.931 Å, intensity 41
- d = 2.762 Å, intensity 49
- d = 2.658 Å, intensity 28
- d = 2.128 Å, intensity 23

SrH2Br2O: theoretical powder diffraction line list (Cu Ka), based on a GGA-PBE-relaxed structure.
Peak positions follow from Bragg's law for the DFT cell and can differ from measured ones.

Cell and atoms:
abc: 11.5913 4.3361 9.3518
angles: 90.00 90.00 90.00
Fractional coordinates of all 24 atoms:
Sr (0.1887, 0.2500, 0.1130)
Sr (0.3113, 0.7500, 0.6130)
Sr (0.6887, 0.2500, 0.3870)
Sr (0.8113, 0.7500, 0.8870)
H (0.1213, 0.2500, 0.6939)
H (0.1221, 0.2500, 0.5274)
H (0.3779, 0.7500, 0.0274)
H (0.3787, 0.7500, 0.1939)
H (0.6213, 0.2500, 0.8061)
H (0.6221, 0.2500, 0.9726)
H (0.8779, 0.7500, 0.4726)
H (0.8787, 0.7500, 0.3061)
Br (0.1006, 0.7500, 0.8868)
Br (0.1159, 0.7500, 0.3462)
Br (0.3841, 0.2500, 0.8462)
Br (0.3994, 0.2500, 0.3868)
Br (0.6006, 0.7500, 0.6132)
Br (0.6159, 0.7500, 0.1538)
Br (0.8841, 0.2500, 0.6538)
Br (0.8994, 0.2500, 0.1132)
O (0.1735, 0.2500, 0.6109)
O (0.3265, 0.7500, 0.1109)
O (0.6735, 0.2500, 0.8891)
O (0.8265, 0.7500, 0.3891)

Principal peaks in the range 10 to 90 degrees two-theta, sorted by position:
- d = 3.472 Å, intensity 17
- d = 3.066 Å, intensity 100
- d = 2.978 Å, intensity 53
- d = 2.898 Å, intensity 19
- d = 2.455 Å, intensity 55
- d = 2.409 Å, intensity 27
- d = 2.338 Å, intensity 26
- d = 2.168 Å, intensity 26
- d = 1.753 Å, intensity 22
- d = 1.678 Å, intensity 15

SrHBrO: theoretical powder diffraction line list (Cu Ka), based on a GGA-PBE-relaxed structure.
Peak positions follow from Bragg's law for the DFT cell and can differ from measured ones.

Cell and atoms:
abc: 5.9506 5.9506 7.4368
angles: 105.60 105.60 42.76
Fractional coordinates of all 8 atoms:
Sr (0.1983, 0.1983, 0.2762)
Sr (0.8017, 0.8017, 0.7238)
H (0.4440, 0.4440, 0.6190)
H (0.5560, 0.5560, 0.3810)
Br (0.1119, 0.1119, 0.8266)
Br (0.8881, 0.8881, 0.1734)
O (0.3530, 0.3530, 0.5960)
O (0.6470, 0.6470, 0.4040)

Principal peaks in the range 10 to 90 degrees two-theta, sorted by position:
- d = 5.305 Å, intensity 49
- d = 4.016 Å, intensity 87
- d = 3.560 Å, intensity 80
- d = 2.821 Å, intensity 87
- d = 2.775 Å, intensity 100
- d = 2.760 Å, intensity 52
- d = 2.741 Å, intensity 52
- d = 2.626 Å, intensity 57
- d = 2.169 Å, intensity 46
- d = 2.149 Å, intensity 44

UH4Br2O4: theoretical powder diffraction line list (Cu Ka), based on a GGA-PBE-relaxed structure.
Peak positions follow from Bragg's law for the DFT cell and can differ from measured ones.

Cell and atoms:
abc: 6.1741 10.9712 10.8152
angles: 90.00 101.94 90.00
Fractional coordinates of all 44 atoms:
U (0.0890, 0.1928, 0.1010)
U (0.0890, 0.3072, 0.6010)
U (0.9110, 0.6928, 0.3990)
U (0.9110, 0.8072, 0.8990)
H (0.1313, 0.0317, 0.6908)
H (0.1313, 0.4683, 0.1908)
H (0.3662, 0.0912, 0.7448)
H (0.3662, 0.4088, 0.2448)
H (0.4076, 0.7020, 0.2942)
H (0.4076, 0.7980, 0.7942)
H (0.4978, 0.6718, 0.1712)
H (0.4978, 0.8282, 0.6712)
H (0.5022, 0.1718, 0.3288)
H (0.5022, 0.3282, 0.8288)
H (0.5924, 0.2020, 0.2058)
H (0.5924, 0.2980, 0.7058)
H (0.6338, 0.5912, 0.7552)
H (0.6338, 0.9088, 0.2552)
H (0.8687, 0.5317, 0.8092)
H (0.8687, 0.9683, 0.3092)
Br (0.2535, 0.5609, 0.5822)
Br (0.2535, 0.9391, 0.0822)
Br (0.2573, 0.6334, 0.9664)
Br (0.2573, 0.8666, 0.4664)
Br (0.7427, 0.1334, 0.5336)
Br (0.7427, 0.3666, 0.0336)
Br (0.7465, 0.0609, 0.9178)
Br (0.7465, 0.4391, 0.4178)
O (0.0390, 0.6388, 0.2731)
O (0.0390, 0.8612, 0.7731)
O (0.2106, 0.1092, 0.7087)
O (0.2106, 0.3908, 0.2087)
O (0.2262, 0.2381, 0.9778)
O (0.2262, 0.2619, 0.4778)
O (0.4587, 0.1802, 0.2362)
O (0.4587, 0.3198, 0.7362)
O (0.5413, 0.6802, 0.2638)
O (0.5413, 0.8198, 0.7638)
O (0.7738, 0.7381, 0.5222)
O (0.7738, 0.7619, 0.0222)
O (0.7894, 0.6092, 0.7913)
O (0.7894, 0.8908, 0.2913)
O (0.9610, 0.1388, 0.2269)
O (0.9610, 0.3612, 0.7269)

Principal peaks in the range 10 to 90 degrees two-theta, sorted by position:
- d = 7.616 Å, intensity 38
- d = 6.041 Å, intensity 70
- d = 5.291 Å, intensity 38
- d = 5.118 Å, intensity 35
- d = 4.765 Å, intensity 100
- d = 4.464 Å, intensity 44
- d = 4.135 Å, intensity 71
- d = 3.626 Å, intensity 40
- d = 2.385 Å, intensity 37
- d = 2.356 Å, intensity 37